Theoretical X-ray powder pattern
Compound: K3AcV2O8
Radiation: CuKα
Structure: a cell relaxed with GGA+U
Lines closer than 0.1° are merged.

Cell and atoms:
Unit cell a=6.229 b=6.229 c=7.982 alpha=90.00 beta=90.00 gamma=120.00
Element x y z (fractional)
K 0.000 0.000 0.000
K 0.333 0.667 0.703
K 0.667 0.333 0.297
Ac 0.000 0.000 0.500
V 0.333 0.667 0.232
V 0.667 0.333 0.768
O 0.180 0.359 0.308
O 0.180 0.820 0.308
O 0.333 0.667 0.021
O 0.359 0.180 0.692
O 0.641 0.820 0.308
O 0.667 0.333 0.979
O 0.820 0.180 0.692
O 0.820 0.641 0.692

Peak list (6 most intense, 2θ = 15–90°, in order of falling intensity)
two_theta, I (rel.), index
27.81, 100, 0 1 2
28.66, 88, 1 1 0
19.87, 84, 1 0 1
40.36, 50, 2 0 2
16.43, 39, 1 0 0
50.25, 35, 1 2 2


Theoretical X-ray powder pattern
Compound: K3Pu2CoO9
Radiation: CuKα
Structure: a cell relaxed with GGA+U
Lines closer than 0.1° are merged.

Cell and atoms:
Unit cell a=5.877 b=5.877 c=7.233 alpha=90.00 beta=90.00 gamma=120.00
Element x y z (fractional)
K 0.000 0.000 0.000
K 0.333 0.667 0.658
K 0.667 0.333 0.342
Pu 0.333 0.667 0.176
Pu 0.667 0.333 0.824
Co 0.000 0.000 0.500
O 0.000 0.500 0.000
O 0.171 0.342 0.330
O 0.171 0.829 0.330
O 0.342 0.171 0.670
O 0.500 0.000 0.000
O 0.500 0.500 0.000
O 0.658 0.829 0.330
O 0.829 0.171 0.670
O 0.829 0.658 0.670

Peak list (6 most intense, 2θ = 15–90°, in order of falling intensity)
two_theta, I (rel.), index
30.37, 100, 1 1 0
21.35, 80, 1 0 1
43.48, 32, 2 0 2
54.01, 31, 3 0 0
48.99, 18, 2 1 1
48.86, 15, 1 1 3


Theoretical X-ray powder pattern
Compound: Li3Fe5OF11
Radiation: CuKα
Structure: a cell relaxed with GGA+U
Lines closer than 0.1° are merged.

Cell and atoms:
Unit cell a=5.254 b=5.647 c=9.291 alpha=72.98 beta=88.90 gamma=63.10
Element x y z (fractional)
Li 0.000 0.000 0.000
Li 0.205 0.553 0.726
Li 0.734 0.496 0.235
Fe 0.063 0.851 0.348
Fe 0.303 0.380 0.090
Fe 0.531 0.965 0.500
Fe 0.557 0.890 0.853
Fe 0.834 0.379 0.596
O 0.950 0.682 0.539
F 0.006 0.657 0.192
F 0.068 0.150 0.152
F 0.097 0.153 0.454
F 0.119 0.164 0.806
F 0.458 0.678 0.050
F 0.496 0.679 0.709
F 0.514 0.658 0.386
F 0.576 0.167 0.964
F 0.584 0.181 0.646
F 0.602 0.186 0.291
F 0.993 0.674 0.889

Peak list (6 most intense, 2θ = 15–90°, in order of falling intensity)
two_theta, I (rel.), index
51.16, 100, 2 -1 0
22.81, 98, 1 0 1
22.70, 92, 0 1 2
23.48, 92, 1 1 -1
31.85, 68, 1 2 1
31.73, 68, 0 1 -2